Starting from DFT lattice parameters and positions (PBE+U), the X-ray diffraction stick pattern of CoSnSeO was simulated for λ = 1.5418 Å (Cu Kα).
No peak broadening, texture or thermal motion is included.

Crystal structure
```
16
Lattice="6.0055 0.0000 0.0000 0.0000 9.1404 0.0000 0.0000 0.0000 5.8483" Properties=species:S:1:pos:R:3 pbc="T T T"
Co 0.6653 0.5724 0.0000
Co 2.3375 0.5724 2.9241
Co 3.6681 8.5681 0.0000
Co 5.3402 8.5681 2.9241
Sn 0.0783 2.9404 3.5910
Sn 2.9245 2.9404 0.6668
Sn 3.0811 6.2000 3.5910
Sn 5.9272 6.2000 0.6668
Se 0.1029 6.3124 3.6143
Se 2.8998 6.3124 0.6902
Se 3.1057 2.8280 3.6143
Se 5.9026 2.8280 0.6902
O 0.5229 0.7200 3.8024
O 2.4799 0.7200 0.8783
O 3.5257 8.4205 3.8024
O 5.4826 8.4205 0.8783
```

Most intense lines, 10° ≤ 2θ ≤ 90°, low angle first:
| (hkl) | 2θ (°) | I (rel.) |
| --- | --- | --- |
| 0 3 0 | 29.3 | 97 |
| 2 0 0 | 29.8 | 95 |
| 0 0 2 | 30.6 | 100 |
| 0 2 2 | 36.5 | 44 |
| 2 3 0 | 42.3 | 61 |
| 0 3 2 | 42.9 | 57 |
| 2 0 2 | 43.2 | 62 |
| 2 3 2 | 53.1 | 59 |